[1]
For LiZn4SnO8, DFT lattice parameters and positions (GGA-PBE) gives the theoretical powder diffraction line list in this record (copper Kα).
Intensities are scaled so that the largest is 100.

Principal peaks in the range 5 to 70 degrees two-theta, sorted by position:
2θ/deg  I/Imax
19.14  27
24.73  64
32.06  78
34.15  27
34.71  100
35.37  61
53.92  40
55.71  29
58.42  60
61.14  47

```
LiZn4SnO8
1.0
6.064 0.000 0.000
-3.032 5.251 0.000
0.000 0.000 9.888
Li Zn Sn O
2 8 2 16
direct
0.000 0.000 0.000 Li
0.000 0.000 0.500 Li
0.168 0.336 0.281 Zn
0.168 0.832 0.281 Zn
0.333 0.667 0.591 Zn
0.336 0.168 0.781 Zn
0.664 0.832 0.281 Zn
0.667 0.333 0.091 Zn
0.832 0.168 0.781 Zn
0.832 0.664 0.781 Zn
0.333 0.667 0.001 Sn
0.667 0.333 0.501 Sn
0.000 0.000 0.188 O
0.000 0.000 0.688 O
0.029 0.515 0.147 O
0.162 0.324 0.900 O
0.162 0.838 0.900 O
0.324 0.162 0.400 O
0.333 0.667 0.386 O
0.485 0.515 0.147 O
0.485 0.971 0.147 O
0.515 0.029 0.647 O
0.515 0.485 0.647 O
0.667 0.333 0.886 O
0.676 0.838 0.900 O
0.838 0.162 0.400 O
0.838 0.676 0.400 O
0.971 0.485 0.647 O
```



[2]
For La4SbSe2Br, DFT lattice parameters and positions (GGA-PBE) gives the theoretical powder diffraction line list in this record (copper Kα).
Intensities are scaled so that the largest is 100.

Principal peaks in the range 5 to 70 degrees two-theta, sorted by position:
2θ/deg  I/Imax
15.90  1
24.75  8
28.65  100
40.97  76
48.46  4
50.76  27
59.33  13
65.27  2
67.19  34

```
La4SbSe2Br
1.0
-3.114 3.114 6.235
3.114 -3.114 6.235
3.114 3.114 -6.235
La Sb Se Br
4 1 2 1
direct
0.000 0.500 0.500 La
0.249 0.249 0.000 La
0.500 0.000 0.500 La
0.751 0.751 0.000 La
0.500 0.500 0.000 Sb
0.250 0.750 0.500 Se
0.750 0.250 0.500 Se
0.000 0.000 0.000 Br
```



[3]
For MgAg2PO4, DFT lattice parameters and positions (GGA-PBE) gives the theoretical powder diffraction line list in this record (copper Kα).
Intensities are scaled so that the largest is 100.

Principal peaks in the range 5 to 70 degrees two-theta, sorted by position:
2θ/deg  I/Imax
20.05  33
32.58  100
33.91  36
37.36  17
39.71  29
48.72  14
51.33  7
57.26  20
59.84  30
68.24  11

```
MgAg2PO4
1.0
-2.643 2.643 4.056
2.643 -2.643 4.056
2.643 2.643 -4.056
Mg Ag P O
1 2 1 4
direct
0.000 0.000 0.000 Mg
0.250 0.750 0.500 Ag
0.500 0.500 0.000 Ag
0.750 0.250 0.500 P
0.425 0.248 0.395 O
0.752 0.147 0.176 O
0.853 0.030 0.605 O
0.970 0.575 0.824 O
```



[4]
For Pm2Dy2Te7, DFT lattice parameters and positions (GGA-PBE) gives the theoretical powder diffraction line list in this record (copper Kα).
Intensities are scaled so that the largest is 100.

Principal peaks in the range 5 to 70 degrees two-theta, sorted by position:
2θ/deg  I/Imax
11.42  15
20.44  27
21.12  70
31.78  46
33.56  40
35.02  100
38.47  28
46.89  31
58.72  21
60.95  19

```
Pm2Dy2Te7
1.0
5.340 -5.632 0.000
5.340 5.632 0.000
0.000 0.000 6.830
Pm Dy Te
2 2 7
direct
0.239 0.239 0.000 Pm
0.761 0.761 0.000 Pm
0.235 0.765 0.500 Dy
0.765 0.235 0.500 Dy
0.000 0.000 0.255 Te
0.000 0.000 0.745 Te
0.000 0.500 0.244 Te
0.000 0.500 0.756 Te
0.500 0.000 0.244 Te
0.500 0.000 0.756 Te
0.500 0.500 0.500 Te
```



[5]
For La6HIr2Rh, DFT lattice parameters and positions (GGA-PBE) gives the theoretical powder diffraction line list in this record (copper Kα).
Intensities are scaled so that the largest is 100.

Principal peaks in the range 5 to 70 degrees two-theta, sorted by position:
2θ/deg  I/Imax
16.93  36
22.90  20
28.49  100
30.44  10
36.96  78
39.86  9
44.24  50
48.24  24
53.47  17
58.97  20

```
La6HIr2Rh
1.0
3.546 2.047 6.684
-3.546 2.047 6.684
0.000 -4.095 6.684
La H Ir Rh
6 1 2 1
direct
0.005 0.665 0.330 La
0.161 0.491 0.841 La
0.330 0.005 0.665 La
0.491 0.841 0.161 La
0.665 0.330 0.005 La
0.841 0.161 0.491 La
0.228 0.228 0.228 H
0.417 0.417 0.417 Ir
0.913 0.913 0.913 Ir
0.748 0.748 0.748 Rh
```



[6]
For K2CaTaS4, DFT lattice parameters and positions (GGA-PBE) gives the theoretical powder diffraction line list in this record (copper Kα).
Intensities are scaled so that the largest is 100.

Principal peaks in the range 5 to 70 degrees two-theta, sorted by position:
2θ/deg  I/Imax
15.53  87
17.02  26
24.15  21
26.15  100
28.85  21
34.42  33
40.65  16
43.74  46
45.51  17
47.30  28

```
K2CaTaS4
1.0
-3.685 3.685 4.505
3.685 -3.685 4.505
3.685 3.685 -4.505
K Ca Ta S
2 1 1 4
direct
0.000 0.000 0.000 K
0.750 0.250 0.500 K
0.500 0.500 0.000 Ca
0.250 0.750 0.500 Ta
0.184 0.638 0.096 S
0.362 0.458 0.546 S
0.542 0.088 0.904 S
0.912 0.816 0.454 S
```